1.
This entry pairs a crystal structure of MnInAsN with its computed PXRD pattern. Radiation: Cu Kα. Structure: a structure optimized by DFT (PBE).
Kinematic intensities with the Lorentz-polarization factor, no thermal factor.

Largest 12 diffraction maxima, in order of rising 2θ, 10° ≤ 2θ ≤ 90°:
d = 3.320 Å, I 39.2, hkl 0 0 2; d = 3.157 Å, I 100.0, hkl 1 0 0; d = 2.851 Å, I 57.3, hkl 0 1 1; d = 2.288 Å, I 81.8, hkl 1 0 2; d = 1.823 Å, I 47.0, hkl 1 1 0; d = 1.812 Å, I 39.9, hkl 0 1 3; d = 1.598 Å, I 26.0, hkl 1 1 2; d = 1.579 Å, I 12.6, hkl 2 0 0; d = 1.426 Å, I 17.7, hkl 0 2 2; d = 1.407 Å, I 11.4, hkl 1 1 3; d = 1.285 Å, I 12.2, hkl 2 0 3; d = 1.123 Å, I 16.6, hkl 2 1 2

Crystal structure
Lattice parameters (Å, degrees): 3.6458 3.6458 6.6397 90.00 90.00 120.00
Space group P3m1 (No. 156)
One atom of each set of equivalent atoms:
Mn: 0.0000 0.0000 0.0000 (multiplicity 1)
In: 0.6667 0.3333 0.6002 (multiplicity 1)
As: 0.6667 0.3333 0.1908 (multiplicity 1)
N: 0.0000 0.0000 0.7061 (multiplicity 1)

2.
This entry pairs a crystal structure of LiIn2Ni with its computed PXRD pattern. Radiation: Cu Kα. Structure: a structure optimized by DFT (PBE).
Kinematic intensities with the Lorentz-polarization factor, no thermal factor.

Largest 11 diffraction maxima, in order of rising 2θ, 10° ≤ 2θ ≤ 90°:
d = 3.704 Å, I 10.0, hkl 1 1 1; d = 3.207 Å, I 37.6, hkl 2 0 0; d = 2.268 Å, I 100.0, hkl 2 2 0; d = 1.934 Å, I 4.7, hkl 3 1 1; d = 1.852 Å, I 10.3, hkl 2 2 2; d = 1.604 Å, I 16.3, hkl 4 0 0; d = 1.472 Å, I 1.8, hkl 3 3 1; d = 1.434 Å, I 13.2, hkl 4 2 0; d = 1.309 Å, I 32.2, hkl 4 2 2; d = 1.235 Å, I 1.3, hkl 5 1 1; d = 1.134 Å, I 10.2, hkl 4 4 0

Crystal structure
Lattice parameters (Å, degrees): 6.415 6.415 6.415 90.00 90.00 90.00
Space group Fm-3m (No. 225)
One atom of each set of equivalent atoms:
Li: 0.000 0.000 0.000 (multiplicity 4)
In: 0.250 0.250 0.250 (multiplicity 8)
Ni: 0.000 0.000 0.500 (multiplicity 4)